CsCuF4: calculated powder XRD pattern (λ = 1.5418 Å (Cu Kα)), based on a GGA-PBE-relaxed structure.
Kinematic intensities with the Lorentz-polarization factor, no thermal factor.

Crystal structure
```
data_CsCuF4
_chemical_formula_sum 'Cs4 Cu4 F16'
_cell_length_a 6.418
_cell_length_b 6.418
_cell_length_c 12.108
_cell_angle_alpha 90.00
_cell_angle_beta 90.00
_cell_angle_gamma 90.00
_symmetry_space_group_name_H-M 'I 4/m c m'
_symmetry_Int_Tables_number 140
_symmetry_space_group_name_Hall '-I 4 2c'
loop_
_atom_site_label
_atom_site_type_symbol
_atom_site_fract_x
_atom_site_fract_y
_atom_site_fract_z
Cs1 Cs 0.000 0.000 0.250
Cu1 Cu 0.000 0.500 0.000
F1 F 0.139 0.361 0.104
```

The 6 most intense peaks (2θ from 10° to 90°), in order of falling intensity:
2θ/deg, Rel. int.
24.51, 100
27.80, 29
47.23, 27
40.99, 26
65.19, 14
39.72, 13


Ca3Au: calculated powder XRD pattern (λ = 1.5418 Å (Cu Kα)), based on a GGA-PBE-relaxed structure.
Kinematic intensities with the Lorentz-polarization factor, no thermal factor.

Crystal structure
```
data_Ca3Au
_chemical_formula_sum 'Ca24 Au8'
_cell_length_a 12.612
_cell_length_b 12.612
_cell_length_c 6.399
_cell_angle_alpha 90.00
_cell_angle_beta 90.00
_cell_angle_gamma 90.00
_symmetry_space_group_name_H-M 'P 42/n'
_symmetry_Int_Tables_number 86
loop_
_symmetry_equiv_pos_as_xyz
'x,y,z'
'-x,-y,-z'
'-y,x+1/2,z+1/2'
'y,-x+1/2,-z+1/2'
'-x+1/2,-y+1/2,z'
'x+1/2,y+1/2,-z'
'y+1/2,-x,z+1/2'
'-y+1/2,x,-z+1/2'
loop_
_atom_site_label
_atom_site_type_symbol
_atom_site_fract_x
_atom_site_fract_y
_atom_site_fract_z
Ca1 Ca 0.030 0.581 0.229
Ca2 Ca 0.115 0.212 0.022
Ca3 Ca 0.133 0.666 0.721
Au1 Au 0.045 0.199 0.529
```

The 6 most intense peaks (2θ from 10° to 90°), in order of falling intensity:
2θ/deg, Rel. int.
19.77, 100
35.99, 48
31.72, 38
39.04, 37
22.29, 35
19.91, 34


SmTiBi2: calculated powder XRD pattern (λ = 1.5418 Å (Cu Kα)), based on a GGA-PBE-relaxed structure.
Kinematic intensities with the Lorentz-polarization factor, no thermal factor.

Crystal structure
```
data_SmTiBi2
_chemical_formula_sum 'Sm1 Ti1 Bi2'
_cell_length_a 3.624
_cell_length_b 3.624
_cell_length_c 7.994
_cell_angle_alpha 90.00
_cell_angle_beta 90.00
_cell_angle_gamma 90.00
_symmetry_space_group_name_H-M 'P 4/m m m'
_symmetry_Int_Tables_number 123
_symmetry_space_group_name_Hall '-P 4 2'
loop_
_atom_site_label
_atom_site_type_symbol
_atom_site_fract_x
_atom_site_fract_y
_atom_site_fract_z
Sm1 Sm 0.000 0.000 0.000
Ti1 Ti 0.000 0.000 0.500
Bi1 Bi 0.500 0.500 0.282
```

The 6 most intense peaks (2θ from 10° to 90°), in order of falling intensity:
2θ/deg, Rel. int.
33.37, 100
35.01, 49
61.76, 35
50.35, 18
27.01, 18
24.56, 15


La5CuBi3: calculated powder XRD pattern (λ = 1.5418 Å (Cu Kα)), based on a GGA-PBE-relaxed structure.
Kinematic intensities with the Lorentz-polarization factor, no thermal factor.

Crystal structure
```
data_La5CuBi3
_chemical_formula_sum 'La10 Cu2 Bi6'
_cell_length_a 9.8442
_cell_length_b 9.8442
_cell_length_c 6.7589
_cell_angle_alpha 90.00
_cell_angle_beta 90.00
_cell_angle_gamma 120.00
_symmetry_space_group_name_H-M 'P 63/m c m'
_symmetry_Int_Tables_number 193
_symmetry_space_group_name_Hall '-P 6c 2'
loop_
_atom_site_label
_atom_site_type_symbol
_atom_site_fract_x
_atom_site_fract_y
_atom_site_fract_z
La1 La 0.0000 0.2585 0.2500
La2 La 0.3333 0.6667 0.0000
Cu1 Cu 0.0000 0.0000 0.0000
Bi1 Bi 0.0000 0.3832 0.7500
```

The 6 most intense peaks (2θ from 10° to 90°), in order of falling intensity:
2θ/deg, Rel. int.
32.13, 100
30.74, 89
31.48, 82
64.10, 26
45.60, 26
40.41, 25


Li8ZnCu4: calculated powder XRD pattern (λ = 1.5418 Å (Cu Kα)), based on a GGA-PBE-relaxed structure.
Kinematic intensities with the Lorentz-polarization factor, no thermal factor.

Crystal structure
```
data_Li8ZnCu4
_chemical_formula_sum 'Li16 Zn2 Cu8'
_cell_length_a 8.997
_cell_length_b 8.997
_cell_length_c 4.896
_cell_angle_alpha 90.00
_cell_angle_beta 90.00
_cell_angle_gamma 90.00
_symmetry_space_group_name_H-M 'I 4/m m m'
_symmetry_Int_Tables_number 139
_symmetry_space_group_name_Hall '-I 4 2'
loop_
_atom_site_label
_atom_site_type_symbol
_atom_site_fract_x
_atom_site_fract_y
_atom_site_fract_z
Li1 Li 0.000 0.204 0.000
Li2 Li 0.000 0.332 0.500
Zn1 Zn 0.000 0.000 0.500
Cu1 Cu 0.250 0.250 0.250
```

The 6 most intense peaks (2θ from 10° to 90°), in order of falling intensity:
2θ/deg, Rel. int.
28.05, 100
19.74, 91
42.02, 81
40.09, 50
59.47, 47
45.07, 25


Dy2Ga9Rh3: calculated powder XRD pattern (λ = 1.5418 Å (Cu Kα)), based on a GGA-PBE-relaxed structure.
Kinematic intensities with the Lorentz-polarization factor, no thermal factor.

Crystal structure
```
data_Dy2Ga9Rh3
_chemical_formula_sum 'Dy8 Ga36 Rh12'
_cell_length_a 13.132
_cell_length_b 7.553
_cell_length_c 10.494
_cell_angle_alpha 90.00
_cell_angle_beta 114.78
_cell_angle_gamma 90.00
_symmetry_space_group_name_H-M 'C 1 2/c 1'
_symmetry_Int_Tables_number 15
_symmetry_space_group_name_Hall '-C 2yc'
loop_
_atom_site_label
_atom_site_type_symbol
_atom_site_fract_x
_atom_site_fract_y
_atom_site_fract_z
Dy1 Dy 0.169 0.083 0.251
Ga1 Ga 0.000 0.370 0.250
Ga2 Ga 0.057 0.083 0.921
Ga3 Ga 0.104 0.314 0.748
Ga4 Ga 0.105 0.415 0.066
Ga5 Ga 0.223 0.416 0.421
Rh1 Rh 0.086 0.243 0.501
Rh2 Rh 0.250 0.250 0.000
```

The 6 most intense peaks (2θ from 10° to 90°), in order of falling intensity:
2θ/deg, Rel. int.
36.95, 100
41.37, 55
41.25, 28
30.16, 21
37.77, 17
72.58, 16